# 1
# Na2B3C
Simulated X-ray diffraction stick pattern, Cu Kα, 1.54184 Å. Input: DFT lattice parameters and positions (PBE).
Peak positions follow from Bragg's law for the DFT cell and can differ from measured ones.

Cell and atoms:
```
30
Lattice="8.9451 -1.4411 0.0000 8.9451 1.4411 0.0000 -5.2636 0.0000 12.2872" Properties=species:S:1:pos:R:3 pbc="T T T"
Na 0.0000 0.0000 0.0000
Na -2.6078 0.0000 6.1159
Na 1.4893 0.0000 4.8871
Na -1.0699 0.0000 10.9991
Na 2.9297 0.0000 9.8111
Na 5.6174 0.0000 3.6750
Na 7.0782 0.0000 8.5528
Na 9.7056 0.0000 2.4452
Na 11.1739 0.0000 7.3394
Na 13.8374 0.0000 1.2136
B -3.6546 0.0000 10.0803
B -0.0939 0.0000 7.0577
B 2.5691 0.0000 0.9766
B 3.0431 0.0000 2.5657
B 4.0363 0.0000 5.9169
B 1.4711 0.0000 12.2295
B 4.5413 0.0000 7.5945
B 8.1428 0.0000 4.6806
B 5.9598 0.0000 12.2762
B 9.5709 0.0000 9.4457
B 12.2729 0.0000 3.5146
B 10.1158 0.0000 11.2295
B 12.7534 0.0000 5.1480
B 13.7301 0.0000 8.4132
B 16.3852 0.0000 2.3062
C -1.0363 0.0000 3.8916
C 0.3838 0.0000 8.6669
C 7.2060 0.0000 1.5035
C 5.5149 0.0000 10.7991
C 8.6178 0.0000 6.2761
```

Main lines, sorted by position (10 to 90 degrees two-theta):
2θ (°)  Rel. int.
35.7  18
41.0  51
41.7  100
42.2  37
63.2  18
76.8  12
79.0  17
79.5  11


# 2
# Nd6YHo3Er2
Simulated X-ray diffraction stick pattern, Cu Kα, 1.54184 Å. Input: DFT lattice parameters and positions (PBE).
Peak positions follow from Bragg's law for the DFT cell and can differ from measured ones.

Cell and atoms:
```
12
Lattice="3.1317 -5.4234 0.0000 3.1317 5.4234 0.0000 -2.0811 0.0000 11.6354" Properties=species:S:1:pos:R:3 pbc="T T T"
Nd 1.0388 1.8135 2.9067
Nd 0.0023 0.0000 8.7299
Nd 1.0388 -1.8135 2.9067
Nd 3.1436 1.8135 8.7287
Nd 4.1801 0.0000 2.9056
Nd 3.1436 -1.8135 8.7287
Y 2.0912 0.0000 5.8177
Ho 0.0000 0.0000 0.0000
Ho 3.1317 1.8084 0.0000
Ho 3.1317 -1.8084 0.0000
Er 2.0912 3.6162 5.8177
Er 2.0912 -3.6162 5.8177
```

Main lines, sorted by position (10 to 90 degrees two-theta):
2θ (°)  Rel. int.
30.3  100
30.7  32
35.3  67
50.5  24
51.0  23
60.0  14
60.3  28
60.8  14


# 3
# Th6FeCl15
Simulated X-ray diffraction stick pattern, Cu Kα, 1.54184 Å. Input: DFT lattice parameters and positions (PBE).
Peak positions follow from Bragg's law for the DFT cell and can differ from measured ones.

Cell and atoms:
```
22
Lattice="-5.6475 5.6475 5.6475 5.6475 -5.6475 5.6475 5.6475 5.6475 -5.6475" Properties=species:S:1:pos:R:3 pbc="T T T"
Th 2.7518 0.0000 0.0000
Th 8.5433 0.0000 0.0000
Th 0.0000 2.7518 0.0000
Th 0.0000 0.0000 2.7518
Th 0.0000 8.5433 0.0000
Th 0.0000 0.0000 8.5433
Fe 0.0000 0.0000 0.0000
Cl 5.6475 2.8615 -2.8615
Cl 5.6475 0.0000 0.0000
Cl 5.6475 -2.8615 2.8615
Cl 2.8615 5.6475 -2.8615
Cl 2.7861 2.7861 0.0000
Cl 2.7861 0.0000 2.7861
Cl 2.8615 -2.8615 5.6475
Cl 0.0000 2.7861 2.7861
Cl 0.0000 5.6475 0.0000
Cl 0.0000 0.0000 5.6475
Cl 5.6475 2.8615 2.8615
Cl -2.8615 5.6475 2.8615
Cl -2.8615 2.8615 5.6475
Cl 2.8615 5.6475 2.8615
Cl 2.8615 2.8615 5.6475
```

Main lines, sorted by position (10 to 90 degrees two-theta):
2θ (°)  Rel. int.
11.1  100
15.7  20
19.2  35
24.9  23
29.6  33
31.7  64
40.7  25
45.4  46


# 4
# Ba4ZnGa12Ru3
Simulated X-ray diffraction stick pattern, Cu Kα, 1.54184 Å. Input: DFT lattice parameters and positions (PBE).
Peak positions follow from Bragg's law for the DFT cell and can differ from measured ones.

Cell and atoms:
```
20
Lattice="-4.9027 4.9027 4.9027 4.9027 -4.9027 4.9027 4.9027 4.9027 -4.9027" Properties=species:S:1:pos:R:3 pbc="T T T"
Ba 2.4513 2.4513 -2.4513
Ba 2.4513 -2.4513 2.4513
Ba -2.4513 2.4513 2.4513
Ba 2.4513 2.4513 2.4513
Zn 0.0000 0.0000 0.0000
Ga 2.4566 0.0000 0.0000
Ga 7.3488 0.0000 0.0000
Ga 4.9027 2.4513 0.0000
Ga 4.9027 0.0000 2.4513
Ga 0.0000 2.4566 0.0000
Ga 0.0000 0.0000 2.4566
Ga 2.4513 4.9027 0.0000
Ga 2.4513 0.0000 4.9027
Ga 0.0000 7.3488 0.0000
Ga 0.0000 0.0000 7.3488
Ga 0.0000 4.9027 2.4513
Ga 0.0000 2.4513 4.9027
Ru 4.9027 0.0000 0.0000
Ru 0.0000 4.9027 0.0000
Ru 0.0000 0.0000 4.9027
```

Main lines, sorted by position (10 to 90 degrees two-theta):
2θ (°)  Rel. int.
25.7  60
31.6  66
36.7  100
45.3  25
52.8  68
62.9  27
66.0  23
89.4  31


# 5
# Na4Pr2Cl9
Simulated X-ray diffraction stick pattern, Cu Kα, 1.54184 Å. Input: DFT lattice parameters and positions (PBE).
Peak positions follow from Bragg's law for the DFT cell and can differ from measured ones.

Cell and atoms:
```
30
Lattice="7.2452 0.0000 0.0000 3.6187 6.2798 0.0000 0.0185 0.0008 18.9454" Properties=species:S:1:pos:R:3 pbc="T T T"
Na 1.8111 1.0435 9.1639
Na 1.8156 1.0484 12.8310
Na 1.8307 1.0451 18.6165
Na 1.8214 1.0413 3.3836
Na 9.0611 5.2393 15.5617
Na 9.0518 5.2355 0.3289
Na 9.0669 5.2322 6.1144
Na 9.0714 5.2371 9.7815
Pr 5.4430 3.1524 12.4102
Pr 5.4422 3.1318 16.0116
Pr 5.4403 3.1488 2.9338
Pr 5.4394 3.1282 6.5351
Cl 2.9821 3.3235 17.3267
Cl 4.0610 5.1836 7.8420
Cl 2.9794 2.9776 11.0966
Cl 4.3579 5.3719 1.6265
Cl 3.1691 3.1430 4.7340
Cl 4.3137 5.1107 14.2159
Cl 4.0520 1.1074 1.6183
Cl 6.5217 5.3679 11.0825
Cl 4.3001 1.1786 14.2011
Cl 6.5824 5.1020 4.7442
Cl 4.3608 0.9127 7.8628
Cl 6.8305 5.1732 17.3270
Cl 6.5688 1.1699 4.7295
Cl 7.7134 3.1376 14.2114
Cl 6.5245 0.9087 17.3189
Cl 7.9031 3.3030 7.8488
Cl 6.8215 1.0970 11.1034
Cl 7.9004 2.9571 1.6186
```

Main lines, sorted by position (10 to 90 degrees two-theta):
2θ (°)  Rel. int.
14.1  100
16.9  42
23.5  52
28.4  73
34.3  28
37.8  78
42.6  27
43.2  49


# 6
# Tb4RuI2
Simulated X-ray diffraction stick pattern, Cu Kα, 1.54184 Å. Input: DFT lattice parameters and positions (PBE).
Peak positions follow from Bragg's law for the DFT cell and can differ from measured ones.

Cell and atoms:
```
7
Lattice="2.5992 -11.6259 0.0000 2.5992 11.6259 0.0000 0.0000 0.0000 4.4159" Properties=species:S:1:pos:R:3 pbc="T T T"
Tb 2.5992 10.0061 0.0000
Tb 2.5992 1.6807 2.2079
Tb 2.5992 -1.6807 2.2079
Tb 2.5992 -10.0061 0.0000
Ru 2.5992 0.0000 0.0000
I 2.5992 7.6587 2.2079
I 2.5992 -7.6587 2.2079
```

Main lines, sorted by position (10 to 90 degrees two-theta):
2θ (°)  Rel. int.
20.6  42
26.8  45
30.8  29
32.8  91
34.5  47
38.1  100
40.9  30
46.9  29


Repeat the third record exactly.
# Th6FeCl15
Simulated X-ray diffraction stick pattern, Cu Kα, 1.54184 Å. Input: DFT lattice parameters and positions (PBE).
Peak positions follow from Bragg's law for the DFT cell and can differ from measured ones.

Cell and atoms:
```
22
Lattice="-5.6475 5.6475 5.6475 5.6475 -5.6475 5.6475 5.6475 5.6475 -5.6475" Properties=species:S:1:pos:R:3 pbc="T T T"
Th 2.7518 0.0000 0.0000
Th 8.5433 0.0000 0.0000
Th 0.0000 2.7518 0.0000
Th 0.0000 0.0000 2.7518
Th 0.0000 8.5433 0.0000
Th 0.0000 0.0000 8.5433
Fe 0.0000 0.0000 0.0000
Cl 5.6475 2.8615 -2.8615
Cl 5.6475 0.0000 0.0000
Cl 5.6475 -2.8615 2.8615
Cl 2.8615 5.6475 -2.8615
Cl 2.7861 2.7861 0.0000
Cl 2.7861 0.0000 2.7861
Cl 2.8615 -2.8615 5.6475
Cl 0.0000 2.7861 2.7861
Cl 0.0000 5.6475 0.0000
Cl 0.0000 0.0000 5.6475
Cl 5.6475 2.8615 2.8615
Cl -2.8615 5.6475 2.8615
Cl -2.8615 2.8615 5.6475
Cl 2.8615 5.6475 2.8615
Cl 2.8615 2.8615 5.6475
```

Main lines, sorted by position (10 to 90 degrees two-theta):
2θ (°)  Rel. int.
11.1  100
15.7  20
19.2  35
24.9  23
29.6  33
31.7  64
40.7  25
45.4  46


- Number 5 is which compound?
  Na4Pr2Cl9